Record 1
Structure and computed powder X-ray diffraction pattern of NbAl3 (DFT lattice parameters and positions (GGA-PBE); CuKα).
Neutral-atom scattering factors, no anomalous dispersion.

Main lines, by angle (10° ≤ 2θ ≤ 80°):
2θ (°)	d/Å	I/Imax
20.6	4.319	17
25.3	3.519	42
32.9	2.725	11
39.1	2.305	100
41.8	2.160	18
47.2	1.927	25
52.0	1.759	6
54.3	1.691	15
62.8	1.479	6
64.9	1.438	19
68.9	1.362	8
74.5	1.273	12

Lattice parameters (Å, degrees): 5.107 5.107 5.107 135.67 135.67 64.48
Atoms (fractional coordinates):
Nb1 0.000 0.000 0.000
Al1 0.250 0.750 0.500
Al2 0.500 0.500 0.000
Al3 0.750 0.250 0.500

Record 2
Structure and computed powder X-ray diffraction pattern of Nb3Al (DFT lattice parameters and positions (GGA-PBE); CuKα).
Neutral-atom scattering factors, no anomalous dispersion.

Main lines, by angle (10° ≤ 2θ ≤ 80°):
2θ (°)	d/Å	I/Imax
24.1	3.688	22
34.4	2.608	14
38.6	2.332	100
42.5	2.129	31
49.4	1.844	3
55.7	1.649	4
61.6	1.506	15
64.4	1.446	21
67.2	1.394	15
72.5	1.304	10
77.7	1.229	2

Lattice parameters (Å, degrees): 5.215 5.215 5.215 90.00 90.00 90.00
Atoms (fractional coordinates):
Nb1 0.000 0.250 0.500
Nb2 0.000 0.750 0.500
Nb3 0.250 0.500 0.000
Nb4 0.500 0.000 0.250
Nb5 0.500 0.000 0.750
Nb6 0.750 0.500 0.000
Al1 0.000 0.000 0.000
Al2 0.500 0.500 0.500

Record 3
Structure and computed powder X-ray diffraction pattern of Nb4Al (DFT lattice parameters and positions (GGA-PBE); CuKα).
Neutral-atom scattering factors, no anomalous dispersion.

Main lines, by angle (10° ≤ 2θ ≤ 80°):
2θ (°)	d/Å	I/Imax
15.3	5.776	5
33.0	2.711	5
34.9	2.573	6
38.3	2.350	100
39.0	2.310	23
39.9	2.259	22
53.5	1.713	9
57.0	1.615	15
68.2	1.376	9
68.8	1.365	9
70.2	1.341	15
71.4	1.321	15

Lattice parameters (Å, degrees): 11.770 11.677 2.835 84.92 81.20 13.88
Atoms (fractional coordinates):
Nb1 0.096 0.096 0.904
Nb2 0.301 0.301 0.699
Nb3 0.699 0.699 0.301
Nb4 0.904 0.904 0.096
Al1 0.500 0.500 0.500

Record 4
Structure and computed powder X-ray diffraction pattern of Sr4NdNb2Al3O15 (DFT lattice parameters and positions (GGA-PBE); CuKα).
Neutral-atom scattering factors, no anomalous dispersion.

Main lines, by angle (10° ≤ 2θ ≤ 80°):
2θ (°)	d/Å	I/Imax
19.7	4.518	8
22.7	3.912	4
32.4	2.766	100
38.2	2.359	5
39.9	2.258	17
46.4	1.956	38
52.3	1.749	2
57.7	1.597	28
57.8	1.596	10
67.7	1.384	10
67.8	1.382	11
77.1	1.237	16

Lattice parameters (Å, degrees): 22.842 22.842 22.842 13.90 13.90 13.90
Atoms (fractional coordinates):
Sr1 0.048 0.048 0.048
Sr2 0.150 0.150 0.150
Sr3 0.250 0.250 0.250
Sr4 0.450 0.450 0.450
Sr5 0.550 0.550 0.550
Sr6 0.750 0.750 0.750
Sr7 0.850 0.850 0.850
Sr8 0.952 0.952 0.952
Nd1 0.348 0.348 0.348
Nd2 0.652 0.652 0.652
Nb1 0.200 0.200 0.200
Nb2 0.400 0.400 0.400
Nb3 0.600 0.600 0.600
Nb4 0.800 0.800 0.800
Al1 0.000 0.000 0.000
Al2 0.100 0.100 0.100
Al3 0.301 0.301 0.301
Al4 0.500 0.500 0.500
Al5 0.699 0.699 0.699
Al6 0.900 0.900 0.900
O1 0.043 0.551 0.551
O2 0.047 0.047 0.558
O3 0.047 0.558 0.047
O4 0.155 0.155 0.645
O5 0.155 0.645 0.155
O6 0.158 0.647 0.647
O7 0.244 0.753 0.753
O8 0.247 0.247 0.756
O9 0.247 0.756 0.247
O10 0.353 0.353 0.842
O11 0.353 0.842 0.353
O12 0.355 0.845 0.845
O13 0.442 0.953 0.953
O14 0.449 0.449 0.957
O15 0.449 0.957 0.449
O16 0.551 0.043 0.551
O17 0.551 0.551 0.043
O18 0.558 0.047 0.047
O19 0.645 0.155 0.155
O20 0.647 0.158 0.647
O21 0.647 0.647 0.158
O22 0.753 0.244 0.753
O23 0.753 0.753 0.244
O24 0.756 0.247 0.247
O25 0.842 0.353 0.353
O26 0.845 0.355 0.845
O27 0.845 0.845 0.355
O28 0.953 0.442 0.953
O29 0.953 0.953 0.442
O30 0.957 0.449 0.449

Record 5
Structure and computed powder X-ray diffraction pattern of NbAlNi (DFT lattice parameters and positions (GGA-PBE); CuKα).
Neutral-atom scattering factors, no anomalous dispersion.

Main lines, by angle (10° ≤ 2θ ≤ 80°):
2θ (°)	d/Å	I/Imax
11.1	7.994	33
30.4	2.936	25
35.7	2.513	29
36.4	2.466	35
39.7	2.269	100
39.9	2.257	36
42.5	2.128	34
43.1	2.099	95
43.3	2.088	74
44.1	2.052	31
69.3	1.356	22
73.7	1.286	29

Lattice parameters (Å, degrees): 7.994 4.934 4.934 61.25 90.00 90.00
Atoms (fractional coordinates):
Nb1 0.179 0.000 0.000
Nb2 0.301 0.671 0.671
Nb3 0.699 0.671 0.671
Nb4 0.821 0.000 0.000
Al1 0.237 0.330 0.330
Al2 0.500 0.172 0.688
Al3 0.500 0.688 0.172
Al4 0.763 0.330 0.330
Ni1 0.000 0.508 0.508
Ni2 0.000 0.512 0.991
Ni3 0.000 0.991 0.512
Ni4 0.500 0.176 0.176

Record 6
Structure and computed powder X-ray diffraction pattern of NbAl2Ni9 (DFT lattice parameters and positions (GGA-PBE); CuKα).
Neutral-atom scattering factors, no anomalous dispersion.

Main lines, by angle (10° ≤ 2θ ≤ 80°):
2θ (°)	d/Å	I/Imax
16.6	5.330	2
24.6	3.619	1
26.0	3.427	4
29.8	2.994	2
36.1	2.489	2
39.0	2.307	2
42.1	2.146	1
43.6	2.077	100
50.4	1.810	32
51.4	1.777	15
74.1	1.280	9
74.9	1.268	18

Lattice parameters (Å, degrees): 3.619 3.619 10.660 90.00 90.00 90.00
Atoms (fractional coordinates):
Nb1 0.000 0.000 0.000
Al1 0.000 0.000 0.340
Al2 0.000 0.000 0.660
Ni1 0.000 0.500 0.173
Ni2 0.000 0.500 0.500
Ni3 0.000 0.500 0.827
Ni4 0.500 0.000 0.173
Ni5 0.500 0.000 0.500
Ni6 0.500 0.000 0.827
Ni7 0.500 0.500 0.000
Ni8 0.500 0.500 0.337
Ni9 0.500 0.500 0.663

Record 7
Structure and computed powder X-ray diffraction pattern of NbAlO4 (DFT lattice parameters and positions (GGA-PBE); CuKα).
Neutral-atom scattering factors, no anomalous dispersion.

Main lines, by angle (10° ≤ 2θ ≤ 80°):
2θ (°)	d/Å	I/Imax
14.0	6.323	27
15.2	5.844	40
18.5	4.800	45
22.1	4.017	31
24.6	3.617	100
28.2	3.161	64
29.7	3.006	29
32.9	2.722	30
42.9	2.108	26
44.5	2.035	25
47.8	1.902	35
58.2	1.586	27

Lattice parameters (Å, degrees): 6.397 6.397 13.216 106.11 106.11 34.59
Atoms (fractional coordinates):
Nb1 0.000 0.000 0.000
Nb2 0.082 0.082 0.769
Nb3 0.702 0.702 0.500
Nb4 0.784 0.784 0.269
Al1 0.086 0.086 0.288
Al2 0.698 0.698 0.982
Al3 0.790 0.790 0.791
Al4 0.993 0.993 0.479
O1 0.030 0.030 0.144
O2 0.030 0.030 0.626
O3 0.149 0.149 0.458
O4 0.157 0.157 0.964
O5 0.242 0.242 0.283
O6 0.254 0.254 0.786
O7 0.530 0.530 0.484
O8 0.541 0.541 0.986
O9 0.626 0.626 0.305
O10 0.634 0.634 0.812
O11 0.754 0.754 0.126
O12 0.763 0.763 0.643
O13 0.829 0.829 0.946
O14 0.831 0.831 0.452
O15 0.952 0.952 0.818
O16 0.955 0.955 0.324

Record 8
Structure and computed powder X-ray diffraction pattern of NbAlO4 (DFT lattice parameters and positions (GGA-PBE); CuKα).
Neutral-atom scattering factors, no anomalous dispersion.

Main lines, by angle (10° ≤ 2θ ≤ 80°):
2θ (°)	d/Å	I/Imax
15.3	5.774	100
24.6	3.621	71
27.2	3.276	50
27.8	3.215	71
27.9	3.202	33
29.3	3.046	54
30.3	2.950	48
33.1	2.709	41
45.4	1.999	33
47.7	1.907	36
51.4	1.779	29
56.1	1.639	27

Lattice parameters (Å, degrees): 6.295 6.295 6.680 105.00 105.00 35.26
Atoms (fractional coordinates):
Nb1 0.191 0.191 0.254
Nb2 0.809 0.809 0.746
Al1 0.099 0.099 0.683
Al2 0.901 0.901 0.317
O1 0.062 0.062 0.378
O2 0.128 0.128 0.975
O3 0.264 0.264 0.671
O4 0.366 0.366 0.304
O5 0.634 0.634 0.696
O6 0.736 0.736 0.329
O7 0.872 0.872 0.025
O8 0.938 0.938 0.622

Record 9
Structure and computed powder X-ray diffraction pattern of NbAlO4 (DFT lattice parameters and positions (GGA-PBE); CuKα).
Neutral-atom scattering factors, no anomalous dispersion.

Main lines, by angle (10° ≤ 2θ ≤ 80°):
2θ (°)	d/Å	I/Imax
14.2	6.254	18
17.3	5.129	60
23.8	3.742	44
24.6	3.625	100
28.5	3.127	46
29.5	3.032	18
30.5	2.928	21
32.9	2.724	44
36.1	2.487	17
44.2	2.051	20
47.7	1.906	27
57.8	1.596	37

Lattice parameters (Å, degrees): 6.440 6.440 6.569 106.99 106.99 34.43
Atoms (fractional coordinates):
Nb1 0.105 0.105 0.238
Nb2 0.895 0.895 0.762
Al1 0.202 0.202 0.824
Al2 0.798 0.798 0.176
O1 0.057 0.057 0.861
O2 0.141 0.141 0.528
O3 0.263 0.263 0.141
O4 0.356 0.356 0.796
O5 0.644 0.644 0.204
O6 0.737 0.737 0.859
O7 0.859 0.859 0.472
O8 0.943 0.943 0.139